Entry 1:
For MgZn, the GGA-PBE geometry in the Materials Project gives the computed powder diffractogram in this record (a wavelength of 1.5418 Å).
Lines closer than 0.1° are merged.

Most intense lines, 10° ≤ 2θ ≤ 90°, by angle:
2theta  I/Imax
19.2  184
21.2  574
34.4  202
36.4  320
37.2  483
38.1  1000
38.9  184
40.3  677
40.6  259
43.2  212
49.4  176
64.2  177

Crystal structure
```
data_MgZn
_symmetry_space_group_name_H-M 'C 1 2/m 1'
_symmetry_Int_Tables_number 12
_cell_length_a 10.3721
_cell_length_b 3.0750
_cell_length_c 4.9700
_cell_angle_alpha 90.00
_cell_angle_beta 111.30
_cell_angle_gamma 90.00
loop_
_symmetry_equiv_pos_as_xyz
'x,y,z'
'-x,-y,-z'
'-x,y,-z'
'x,-y,z'
'x+1/2,y+1/2,z'
'-x+1/2,-y+1/2,-z'
'-x+1/2,y+1/2,-z'
'x+1/2,-y+1/2,z'
loop_
_atom_site_label
_atom_site_fract_x
_atom_site_fract_y
_atom_site_fract_z
Mg1 0.1109 0.0000 0.3122
Zn1 0.1429 0.5000 0.8278
```



Entry 2:
For AlCdInS4, the GGA-PBE geometry in the Materials Project gives the computed powder diffractogram in this record (a wavelength of 1.5418 Å).
Lines closer than 0.1° are merged.

Most intense lines, 10° ≤ 2θ ≤ 90°, by angle:
2theta  I/Imax
21.0  886
26.5  862
28.0  1000
28.9  256
31.2  363
32.5  960
35.5  227
40.8  508
42.7  270
46.6  815
48.8  635
51.6  456

Crystal structure
```
data_AlCdInS4
_symmetry_space_group_name_H-M 'R 3 m'
_symmetry_Int_Tables_number 160
_symmetry_space_group_name_Hall 'R 3 -2"'
_cell_length_a 3.8989
_cell_length_b 3.8989
_cell_length_c 38.0503
_cell_angle_alpha 90.00
_cell_angle_beta 90.00
_cell_angle_gamma 120.00
loop_
_atom_site_label
_atom_site_fract_x
_atom_site_fract_y
_atom_site_fract_z
Al1 0.0000 0.0000 0.0000
Cd1 0.0000 0.0000 0.2377
In1 0.0000 0.0000 0.4699
S1 0.0000 0.0000 0.1060
S2 0.0000 0.0000 0.3564
S3 0.0000 0.0000 0.5329
S4 0.0000 0.0000 0.9426
```



Entry 3:
For Tm2Br2F, the GGA-PBE geometry in the Materials Project gives the computed powder diffractogram in this record (a wavelength of 1.5418 Å).
Lines closer than 0.1° are merged.

Most intense lines, 10° ≤ 2θ ≤ 90°, by angle:
2theta  I/Imax
13.4  203
23.0  1000
26.8  163
27.0  118
32.8  404
35.8  226
43.0  136
47.1  146
47.6  241
53.0  204
53.5  176
69.2  153

Crystal structure
```
data_Tm2Br2F
_symmetry_space_group_name_H-M 'P 4/m m m'
_symmetry_Int_Tables_number 123
_symmetry_space_group_name_Hall '-P 4 2'
_cell_length_a 3.8609
_cell_length_b 3.8609
_cell_length_c 13.1990
_cell_angle_alpha 90.00
_cell_angle_beta 90.00
_cell_angle_gamma 90.00
loop_
_atom_site_label
_atom_site_fract_x
_atom_site_fract_y
_atom_site_fract_z
Tm1 0.0000 0.0000 0.1639
Br1 0.0000 0.0000 0.3540
F1 0.0000 0.0000 0.0000
```



Entry 4:
For Ba2Sr2CaTi5O15, the GGA-PBE geometry in the Materials Project gives the computed powder diffractogram in this record (a wavelength of 1.5418 Å).
Lines closer than 0.1° are merged.

Most intense lines, 10° ≤ 2θ ≤ 90°, by angle:
2theta  I/Imax
14.1  30
22.4  80
31.9  1000
39.3  221
45.7  389
51.4  48
56.8  375
66.6  223
71.2  27
75.7  160
80.1  67
84.5  73

Crystal structure
```
data_Ba2Sr2CaTi5O15
_symmetry_space_group_name_H-M 'P 1 m 1'
_symmetry_Int_Tables_number 6
_cell_length_a 8.8800
_cell_length_b 3.9709
_cell_length_c 8.8877
_cell_angle_alpha 90.00
_cell_angle_beta 90.02
_cell_angle_gamma 90.00
loop_
_symmetry_equiv_pos_as_xyz
'x,y,z'
'x,-y,z'
loop_
_atom_site_label
_atom_site_fract_x
_atom_site_fract_y
_atom_site_fract_z
Ba1 0.0000 0.0000 0.0000
Ba2 0.2021 0.0000 0.4001
Sr1 0.4021 0.0000 0.7993
Sr2 0.6015 0.0000 0.2001
Ca1 0.8009 0.0000 0.5998
Ti1 0.0994 0.5000 0.6992
Ti2 0.3059 0.5000 0.0980
Ti3 0.5062 0.5000 0.5022
Ti4 0.6989 0.5000 0.8966
Ti5 0.8959 0.5000 0.3036
O1 0.0981 0.0000 0.6989
O2 0.1012 0.5000 0.2006
O3 0.2057 0.5000 0.8971
O4 0.3043 0.5000 0.6039
O5 0.3089 0.0000 0.0961
O6 0.4090 0.5000 0.2973
O7 0.5016 0.5000 0.9972
O8 0.5104 0.0000 0.5031
O9 0.6039 0.5000 0.6986
O10 0.6966 0.0000 0.8947
O11 0.7023 0.5000 0.4043
O12 0.7943 0.5000 0.1028
O13 0.8926 0.0000 0.3070
O14 0.8968 0.5000 0.7933
O15 0.9933 0.5000 0.5040
```



Entry 5:
For KHg, the GGA-PBE geometry in the Materials Project gives the computed powder diffractogram in this record (a wavelength of 1.5418 Å).
Lines closer than 0.1° are merged.

Most intense lines, 10° ≤ 2θ ≤ 90°, by angle:
2theta  I/Imax
13.2  543
13.5  637
16.7  500
19.2  1000
21.6  615
26.6  339
27.1  604
29.3  453
30.9  996
32.6  333
33.0  379
33.6  946

Crystal structure
```
data_KHg
_symmetry_space_group_name_H-M 'P -1'
_symmetry_Int_Tables_number 2
_cell_length_a 6.7297
_cell_length_b 7.1147
_cell_length_c 7.2429
_cell_angle_alpha 108.65
_cell_angle_beta 101.91
_cell_angle_gamma 90.36
loop_
_symmetry_equiv_pos_as_xyz
'x,y,z'
'-x,-y,-z'
loop_
_atom_site_label
_atom_site_fract_x
_atom_site_fract_y
_atom_site_fract_z
K1 0.1827 0.2964 0.1387
K2 0.2610 0.8471 0.5571
Hg1 0.2965 0.3958 0.6960
Hg2 0.3602 0.7771 0.0630
```



Entry 6:
For K2TcI6, the GGA-PBE geometry in the Materials Project gives the computed powder diffractogram in this record (a wavelength of 1.5418 Å).
Lines closer than 0.1° are merged.

Most intense lines, 10° ≤ 2θ ≤ 90°, by angle:
2theta  I/Imax
13.4  361
15.2  217
15.6  343
25.9  216
26.9  1000
27.1  325
29.1  169
30.7  437
31.5  649
44.4  180
44.7  211
46.3  151

Crystal structure
```
data_K2TcI6
_symmetry_space_group_name_H-M 'P 1 21/c 1'
_symmetry_Int_Tables_number 14
_cell_length_a 8.0074
_cell_length_b 8.0679
_cell_length_c 14.0806
_cell_angle_alpha 90.00
_cell_angle_beta 124.17
_cell_angle_gamma 90.00
loop_
_symmetry_equiv_pos_as_xyz
'x,y,z'
'-x,-y,-z'
'-x,y+1/2,-z+1/2'
'x,-y+1/2,z+1/2'
loop_
_atom_site_label
_atom_site_fract_x
_atom_site_fract_y
_atom_site_fract_z
K1 0.2343 0.0431 0.2490
Tc1 0.5000 0.0000 0.0000
I1 0.1956 0.1982 0.9739
I2 0.2839 0.7207 0.9805
I3 0.3154 0.5012 0.2657
```